Simulated XRD peak list
Compound: Li4Mn5Sb3O16
Radiation: Cu Kα
Structure: a PBE+U-relaxed structure
Neutral-atom scattering factors, no anomalous dispersion.

```
data_Li4Mn5Sb3O16
_chemical_formula_sum 'Li8 Mn10 Sb6 O32'
_cell_length_a 10.7584
_cell_length_b 6.1277
_cell_length_c 9.9304
_cell_angle_alpha 90.00
_cell_angle_beta 90.37
_cell_angle_gamma 90.00
_symmetry_space_group_name_H-M 'C 1 m 1'
_symmetry_Int_Tables_number 8
loop_
_symmetry_equiv_pos_as_xyz
'x,y,z'
'x,-y,z'
'x+1/2,y+1/2,z'
'x+1/2,-y+1/2,z'
loop_
_atom_site_label
_atom_site_type_symbol
_atom_site_fract_x
_atom_site_fract_y
_atom_site_fract_z
Li1 Li 0.0000 0.0000 0.0000
Li2 Li 0.0073 0.0000 0.5144
Li3 Li 0.1732 0.5000 0.1081
Li4 Li 0.3352 0.0000 0.6336
Mn1 Mn 0.0806 0.2530 0.7923
Mn2 Mn 0.1532 0.5000 0.5209
Mn3 Mn 0.1657 0.0000 0.2901
Mn4 Mn 0.3210 0.0000 0.9955
Sb1 Sb 0.3263 0.5000 0.7906
Sb2 Sb 0.4134 0.2466 0.2908
O1 O 0.0179 0.5000 0.6865
O2 O 0.0711 0.2349 0.3988
O3 O 0.1480 0.0000 0.8942
O4 O 0.1746 0.5000 0.9085
O5 O 0.2396 0.2748 0.6740
O6 O 0.2607 0.2264 0.1789
O7 O 0.3439 0.5000 0.4036
O8 O 0.3452 0.0000 0.4092
O9 O 0.4149 0.2675 0.9021
O10 O 0.4862 0.0000 0.1767
O11 O 0.4859 0.5000 0.1838
O12 O 0.4859 0.5000 0.6894
```

Largest 10 diffraction maxima, sorted by position, 2θ = 10–80°:
hkl	2θ (°)	d [Å]	Rel. int.
0 0 2	17.86	4.965	100
2 0 -1	18.71	4.743	28
1 1 -1	18.87	4.702	40
2 0 2	24.49	3.634	28
2 0 3	31.84	2.811	28
4 0 -1	34.44	2.604	28
2 2 1	34.89	2.571	53
2 2 -3	43.54	2.079	32
4 0 5	57.86	1.594	23
6 2 0	59.76	1.548	24